Starting from the PBE geometry in the Materials Project, the X-ray powder pattern of TaIn3Se4 was computed for copper Kα.
Peak positions follow from Bragg's law for the DFT cell and can differ from measured ones.

Main lines, sorted by position (2θ from 15° to 90°):
2theta	I_rel
22.37	338
27.48	305
31.84	1000
51.40	426
56.73	262
71.16	226

Cell and atoms:
```
TaIn3Se4
1.0
-3.975 3.975 3.975
3.975 -3.975 3.975
3.975 3.975 -3.975
Ta In Se
1 3 4
direct
0.000 0.000 0.000
0.000 0.500 0.500
0.500 0.000 0.500
0.500 0.500 0.000
0.000 0.000 0.351
0.000 0.351 0.000
0.351 0.000 0.000
0.649 0.649 0.649
```